This entry pairs a crystal structure of Mn6O5F7 with its simulated powder diffraction line list. Radiation: a wavelength of 1.5418 Å. Structure: a crystal structure in the Materials Project, relaxed with PBE+U.
Intensities are scaled so that the largest is 100.

```
Mn6O5F7
1.0
4.9777 0.0000 0.0000
0.3340 5.5779 0.0000
1.3123 0.4675 15.2502
Mn O F
12 10 14
Cartesian
0.0000 0.0000 0.0000
0.4633 0.2925 5.1705
3.6731 5.2481 12.6675
2.8564 2.1073 5.0451
3.4396 2.5250 10.1764
3.9026 2.8117 15.1269
2.9645 4.5072 2.6334
3.4209 4.7933 7.6559
5.0857 1.8520 2.5059
5.5921 2.0809 7.5251
6.1455 5.8421 10.3889
6.1310 2.2136 12.6656
1.2897 1.5379 4.0349
2.3645 1.6568 14.1815
1.7984 0.7446 6.4386
2.2834 1.0916 11.4542
3.7859 2.8644 3.5029
4.3871 3.1580 8.5336
4.8465 3.2277 13.5968
4.8601 1.6966 11.1990
4.4250 1.6194 6.0382
3.9995 1.4239 0.9186
1.8987 1.7883 8.9788
2.2957 3.7941 11.8588
1.7309 4.4449 4.2783
1.3183 0.3006 1.6759
2.2392 4.5539 9.3609
2.7609 4.5494 14.5255
1.6924 2.9724 1.6007
2.2014 3.3557 6.6645
4.7174 4.5287 10.9925
4.0320 0.1691 3.7530
4.5444 0.4584 8.6881
5.0237 0.4197 13.6277
4.2034 4.2808 0.9990
4.8060 4.5427 6.1493
```

Most intense lines, 10 to 90 degrees two-theta, low angle first:
| index | two_theta | intensity |
| --- | --- | --- |
| 1 1 0 | 23.33 | 42 |
| 1 -1 0 | 24.72 | 29 |
| 1 1 3 | 28.03 | 100 |
| 1 -1 3 | 29.81 | 84 |
| 1 1 -3 | 30.49 | 73 |
| -1 1 3 | 31.02 | 75 |
| 0 2 0 | 32.11 | 22 |
| 0 0 6 | 35.31 | 18 |
| 1 2 -3 | 41.46 | 33 |
| -1 2 3 | 42.27 | 26 |
| 2 0 6 | 49.20 | 60 |
| 2 0 -6 | 53.81 | 34 |